No. 1
# SnAu3
Computed powder diffractogram, Cu Kα X-rays. Input: a PBE-relaxed structure.

Atomic structure:
a = 6.0384 Å, b = 6.0384 Å, c = 4.9993 Å
α = 90.00°, β = 90.00°, γ = 120.00°
Space group P6_3/mmc (No. 194)
Unique sites:
Sn  0.3333  0.6667  0.2500
Au  0.1641  0.3282  0.7500

Peak list (6 most intense, 5° ≤ 2θ ≤ 70°, in order of rising 2θ)
d = 2.615 Å, 34.3 deg, I = 23, hkl 2 0 0; d = 2.500 Å, 35.9 deg, I = 28, hkl 0 0 2; d = 2.317 Å, 38.9 deg, I = 100, hkl 2 0 1; d = 1.807 Å, 50.5 deg, I = 16, hkl 2 0 2; d = 1.510 Å, 61.4 deg, I = 18, hkl 2 2 0; d = 1.405 Å, 66.5 deg, I = 21, hkl 2 0 3

No. 2
# Sn9Au4
Computed powder diffractogram, Cu Kα X-rays. Input: a PBE-relaxed structure.

Atomic structure:
a = 11.0038 Å, b = 15.3264 Å, c = 9.3414 Å
α = 90.00°, β = 125.25°, γ = 90.00°
Space group Cm (No. 8)
Unique sites:
Sn  0.0000  0.0000  0.0000
Sn  0.0100  0.5000  0.8784
Sn  0.0851  0.1382  0.5971
Sn  0.1605  0.3306  0.4988
Sn  0.1986  0.0000  0.4181
Sn  0.2458  0.3649  0.8911
Sn  0.2598  0.3267  0.2344
Sn  0.3221  0.1049  0.2109
Sn  0.3606  0.5000  0.5760
Sn  0.4043  0.1828  0.5961
Sn  0.4077  0.1812  0.9555
Au  0.0460  0.1775  0.8791
Au  0.0487  0.1743  0.2302
Au  0.0692  0.5000  0.5778
Au  0.0772  0.5000  0.2299
Au  0.2218  0.0000  0.8775
Au  0.3639  0.5000  0.2290

Peak list (6 most intense, 5° ≤ 2θ ≤ 70°, in order of rising 2θ)
d = 2.585 Å, 34.7 deg, I = 60, hkl 3 3 0; d = 2.557 Å, 35.1 deg, I = 100, hkl 3 3 -3; d = 2.545 Å, 35.3 deg, I = 37, hkl 0 0 3; d = 2.541 Å, 35.3 deg, I = 13, hkl 1 3 -3; d = 1.802 Å, 50.7 deg, I = 12, hkl 0 6 3; d = 1.476 Å, 63.0 deg, I = 12, hkl 6 0 -6